1.
Computed powder X-ray diffraction pattern
Compound: Na3Pm
Radiation: Cu Ka
Structure: a cell relaxed with GGA-PBE
Kinematic intensities with the Lorentz-polarization factor, no thermal factor.

Largest 8 diffraction maxima, in order of rising 2θ, 10 to 90 degrees two-theta:
| d/Å | I (rel.) |
| --- | --- |
| 6.436 | 34 |
| 4.306 | 92 |
| 3.716 | 42 |
| 3.218 | 24 |
| 2.897 | 24 |
| 2.813 | 100 |
| 2.285 | 23 |
| 2.243 | 31 |

Crystal structure
```
8
Lattice="7.4312 0.0000 0.0000 -3.7156 6.4356 0.0000 0.0000 0.0000 5.7941" Properties=species:S:1:pos:R:3 pbc="T T T"
Na 0.0000 2.0884 1.4485
Na -1.9070 5.3914 1.4485
Na 1.8086 1.0442 4.3456
Na 1.9070 5.3914 1.4485
Na 5.6226 1.0442 4.3456
Na 3.7156 4.3472 4.3456
Pm 0.0000 4.2904 4.3456
Pm 3.7156 2.1452 1.4485
```

2.
Computed powder X-ray diffraction pattern
Compound: NaPm2Sn
Radiation: Cu Ka
Structure: a cell relaxed with GGA-PBE
Kinematic intensities with the Lorentz-polarization factor, no thermal factor.

Largest 8 diffraction maxima, in order of rising 2θ, 10 to 90 degrees two-theta:
| d/Å | I (rel.) |
| --- | --- |
| 4.461 | 11 |
| 3.863 | 14 |
| 2.732 | 100 |
| 2.329 | 6 |
| 1.932 | 18 |
| 1.577 | 38 |
| 1.366 | 12 |
| 1.222 | 17 |

Crystal structure
```
16
Lattice="7.7260 0.0000 0.0000 0.0000 7.7260 0.0000 0.0000 0.0000 7.7260" Properties=species:S:1:pos:R:3 pbc="T T T"
Na 0.0000 0.0000 0.0000
Na 0.0000 3.8630 3.8630
Na 3.8630 0.0000 3.8630
Na 3.8630 3.8630 0.0000
Pm 1.9315 1.9315 1.9315
Pm 1.9315 1.9315 5.7945
Pm 1.9315 5.7945 1.9315
Pm 1.9315 5.7945 5.7945
Pm 5.7945 1.9315 1.9315
Pm 5.7945 1.9315 5.7945
Pm 5.7945 5.7945 1.9315
Pm 5.7945 5.7945 5.7945
Sn 0.0000 0.0000 3.8630
Sn 0.0000 3.8630 0.0000
Sn 3.8630 0.0000 0.0000
Sn 3.8630 3.8630 3.8630
```

3.
Computed powder X-ray diffraction pattern
Compound: NaPmTl2
Radiation: Cu Ka
Structure: a cell relaxed with GGA-PBE
Kinematic intensities with the Lorentz-polarization factor, no thermal factor.

Largest 8 diffraction maxima, in order of rising 2θ, 10 to 90 degrees two-theta:
| d/Å | I (rel.) |
| --- | --- |
| 4.429 | 11 |
| 3.836 | 19 |
| 2.712 | 100 |
| 1.918 | 18 |
| 1.715 | 9 |
| 1.566 | 39 |
| 1.356 | 12 |
| 1.213 | 17 |

Crystal structure
```
16
Lattice="7.6710 0.0000 0.0000 0.0000 7.6710 0.0000 0.0000 0.0000 7.6710" Properties=species:S:1:pos:R:3 pbc="T T T"
Na 0.0000 0.0000 0.0000
Na 0.0000 3.8355 3.8355
Na 3.8355 0.0000 3.8355
Na 3.8355 3.8355 0.0000
Pm 0.0000 0.0000 3.8355
Pm 0.0000 3.8355 0.0000
Pm 3.8355 0.0000 0.0000
Pm 3.8355 3.8355 3.8355
Tl 1.9178 1.9178 1.9178
Tl 1.9178 1.9178 5.7533
Tl 1.9178 5.7533 1.9178
Tl 1.9178 5.7533 5.7533
Tl 5.7533 1.9178 1.9178
Tl 5.7533 1.9178 5.7533
Tl 5.7533 5.7533 1.9178
Tl 5.7533 5.7533 5.7533
```

4.
Computed powder X-ray diffraction pattern
Compound: NaPrS2
Radiation: Cu Ka
Structure: a cell relaxed with GGA-PBE
Kinematic intensities with the Lorentz-polarization factor, no thermal factor.

Largest 8 diffraction maxima, in order of rising 2θ, 10 to 90 degrees two-theta:
| d/Å | I (rel.) |
| --- | --- |
| 5.640 | 61 |
| 4.151 | 60 |
| 3.343 | 49 |
| 2.935 | 100 |
| 2.820 | 45 |
| 2.604 | 36 |
| 2.075 | 36 |
| 2.033 | 67 |

Crystal structure
```
4
Lattice="4.1507 0.0000 0.0000 0.0000 4.1507 0.0000 0.0000 0.0000 5.6397" Properties=species:S:1:pos:R:3 pbc="T T T"
Na 0.0000 0.0000 0.0000
Pr 2.0754 2.0754 2.8199
S 0.0000 0.0000 2.8199
S 2.0754 2.0754 0.0000
```

5.
Computed powder X-ray diffraction pattern
Compound: NaPrS2
Radiation: Cu Ka
Structure: a cell relaxed with GGA-PBE
Kinematic intensities with the Lorentz-polarization factor, no thermal factor.

Largest 8 diffraction maxima, in order of rising 2θ, 10 to 90 degrees two-theta:
| d/Å | I (rel.) |
| --- | --- |
| 6.694 | 67 |
| 3.551 | 40 |
| 3.396 | 26 |
| 2.930 | 100 |
| 2.083 | 37 |
| 2.061 | 35 |
| 1.989 | 18 |
| 1.698 | 19 |

Crystal structure
```
12
Lattice="4.1663 0.0000 0.0000 -2.0831 3.6081 0.0000 0.0000 0.0000 20.0817" Properties=species:S:1:pos:R:3 pbc="T T T"
Na 0.0000 0.0000 0.0000
Na 0.0000 2.4054 13.3878
Na 2.0831 1.2027 6.6939
Pr 0.0000 0.0000 10.0408
Pr 0.0000 2.4054 3.3470
Pr 2.0831 1.2027 16.7347
S 0.0000 0.0000 4.9218
S 0.0000 0.0000 15.1599
S 0.0000 2.4054 8.4660
S 0.0000 2.4054 18.3096
S 2.0831 1.2027 1.7721
S 2.0831 1.2027 11.6157
```

6.
Computed powder X-ray diffraction pattern
Compound: NaPrS2
Radiation: Cu Ka
Structure: a cell relaxed with GGA-PBE
Kinematic intensities with the Lorentz-polarization factor, no thermal factor.

Largest 8 diffraction maxima, in order of rising 2θ, 10 to 90 degrees two-theta:
| d/Å | I (rel.) |
| --- | --- |
| 5.194 | 100 |
| 3.374 | 45 |
| 3.020 | 47 |
| 2.876 | 84 |
| 2.516 | 32 |
| 2.083 | 62 |
| 2.034 | 30 |
| 1.687 | 31 |

Crystal structure
```
16
Lattice="5.7528 0.0000 0.0000 0.0000 5.7528 0.0000 0.0000 0.0000 12.0820" Properties=species:S:1:pos:R:3 pbc="T T T"
Na 0.0000 1.4382 4.5307
Na 0.0000 4.3146 7.5512
Na 2.8764 1.4382 1.5102
Na 2.8764 4.3146 10.5717
Pr 0.0000 1.4382 10.5717
Pr 0.0000 4.3146 1.5102
Pr 2.8764 1.4382 7.5512
Pr 2.8764 4.3146 4.5307
S 0.0000 1.4382 1.3502
S 0.0000 1.4382 7.7113
S 0.0000 4.3146 4.3707
S 0.0000 4.3146 10.7318
S 2.8764 1.4382 4.6908
S 2.8764 1.4382 10.4117
S 2.8764 4.3146 1.6703
S 2.8764 4.3146 7.3912
```

7.
Computed powder X-ray diffraction pattern
Compound: NaPr2Se3
Radiation: Cu Ka
Structure: a cell relaxed with GGA-PBE
Kinematic intensities with the Lorentz-polarization factor, no thermal factor.

Largest 8 diffraction maxima, in order of rising 2θ, 10 to 90 degrees two-theta:
| d/Å | I (rel.) |
| --- | --- |
| 5.467 | 14 |
| 3.021 | 100 |
| 2.147 | 13 |
| 2.136 | 50 |
| 1.750 | 14 |
| 1.739 | 13 |
| 1.351 | 23 |
| 1.230 | 12 |

Crystal structure
```
12
Lattice="4.2558 0.0000 0.0000 0.0000 6.0374 0.0000 0.0000 0.0000 12.8810" Properties=species:S:1:pos:R:3 pbc="T T T"
Na 0.0000 0.0000 0.0000
Na 2.1279 3.0187 6.4405
Pr 0.0000 0.0000 4.3313
Pr 0.0000 0.0000 8.5497
Pr 2.1279 3.0187 2.1092
Pr 2.1279 3.0187 10.7718
Se 0.0000 3.0187 0.0000
Se 0.0000 3.0187 4.2950
Se 0.0000 3.0187 8.5860
Se 2.1279 0.0000 2.1455
Se 2.1279 0.0000 6.4405
Se 2.1279 0.0000 10.7355
```

8.
Computed powder X-ray diffraction pattern
Compound: NaPrSe2
Radiation: Cu Ka
Structure: a cell relaxed with GGA-PBE
Kinematic intensities with the Lorentz-polarization factor, no thermal factor.

Largest 8 diffraction maxima, in order of rising 2θ, 10 to 90 degrees two-theta:
| d/Å | I (rel.) |
| --- | --- |
| 7.051 | 39 |
| 3.675 | 19 |
| 3.049 | 100 |
| 2.156 | 74 |
| 1.760 | 26 |
| 1.525 | 12 |
| 1.364 | 33 |
| 1.244 | 18 |

Crystal structure
```
12
Lattice="4.3092 0.0000 0.0000 -2.1546 3.7319 0.0000 0.0000 0.0000 21.1521" Properties=species:S:1:pos:R:3 pbc="T T T"
Na 0.0000 0.0000 0.0000
Na 0.0000 2.4879 14.1014
Na 2.1546 1.2440 7.0507
Pr 0.0000 0.0000 10.5760
Pr 0.0000 2.4879 3.5254
Pr 2.1546 1.2440 17.6267
Se 0.0000 0.0000 5.1943
Se 0.0000 0.0000 15.9577
Se 0.0000 2.4879 8.9071
Se 0.0000 2.4879 19.2957
Se 2.1546 1.2440 1.8563
Se 2.1546 1.2440 12.2450
```

9.
Computed powder X-ray diffraction pattern
Compound: NaPt
Radiation: Cu Ka
Structure: a cell relaxed with GGA-PBE
Kinematic intensities with the Lorentz-polarization factor, no thermal factor.

Largest 8 diffraction maxima, in order of rising 2θ, 10 to 90 degrees two-theta:
| d/Å | I (rel.) |
| --- | --- |
| 4.890 | 85 |
| 2.469 | 54 |
| 2.445 | 25 |
| 2.204 | 100 |
| 1.737 | 38 |
| 1.369 | 15 |
| 1.360 | 22 |
| 1.231 | 17 |

Crystal structure
```
2
Lattice="2.8510 0.0000 0.0000 -1.4255 2.4690 0.0000 0.0000 0.0000 4.8898" Properties=species:S:1:pos:R:3 pbc="T T T"
Na 0.0000 0.0000 0.0000
Pt 1.4255 0.8230 2.4449
```

10.
Computed powder X-ray diffraction pattern
Compound: RbNa3
Radiation: Cu Ka
Structure: a cell relaxed with GGA-PBE
Kinematic intensities with the Lorentz-polarization factor, no thermal factor.

Largest 8 diffraction maxima, in order of rising 2θ, 10 to 90 degrees two-theta:
| d/Å | I (rel.) |
| --- | --- |
| 4.854 | 50 |
| 4.168 | 21 |
| 3.610 | 23 |
| 3.279 | 25 |
| 3.162 | 100 |
| 2.084 | 19 |
| 1.870 | 21 |
| 1.759 | 22 |

Crystal structure
```
8
Lattice="8.3362 0.0000 0.0000 -4.1681 7.2194 0.0000 0.0000 0.0000 6.5570" Properties=species:S:1:pos:R:3 pbc="T T T"
Rb 0.0000 4.8129 1.6393
Rb 4.1681 2.4065 4.9178
Na 0.0000 2.2148 4.9178
Na -2.2500 6.1120 4.9178
Na 1.9181 1.1074 1.6393
Na 2.2500 6.1120 4.9178
Na 6.4181 1.1074 1.6393
Na 4.1681 5.0046 1.6393
```

11.
Computed powder X-ray diffraction pattern
Compound: RbNa3
Radiation: Cu Ka
Structure: a cell relaxed with GGA-PBE
Kinematic intensities with the Lorentz-polarization factor, no thermal factor.

Largest 8 diffraction maxima, in order of rising 2θ, 10 to 90 degrees two-theta:
| d/Å | I (rel.) |
| --- | --- |
| 5.209 | 44 |
| 3.324 | 100 |
| 2.965 | 37 |
| 2.726 | 15 |
| 2.577 | 15 |
| 2.096 | 13 |
| 2.007 | 23 |
| 1.773 | 31 |

Crystal structure
```
8
Lattice="5.9297 0.0000 0.0000 0.0000 5.9297 0.0000 0.0000 0.0000 10.9051" Properties=species:S:1:pos:R:3 pbc="T T T"
Rb 0.0000 0.0000 0.0000
Rb 2.9648 2.9648 5.4526
Na 0.0000 0.0000 5.4526
Na 0.0000 2.9648 2.7263
Na 0.0000 2.9648 8.1788
Na 2.9648 0.0000 2.7263
Na 2.9648 0.0000 8.1788
Na 2.9648 2.9648 0.0000
```

12.
Computed powder X-ray diffraction pattern
Compound: RbNaS
Radiation: Cu Ka
Structure: a cell relaxed with GGA-PBE
Kinematic intensities with the Lorentz-polarization factor, no thermal factor.

Largest 8 diffraction maxima, in order of rising 2θ, 10 to 90 degrees two-theta:
| d/Å | I (rel.) |
| --- | --- |
| 4.028 | 28 |
| 3.349 | 63 |
| 3.068 | 48 |
| 2.977 | 100 |
| 2.521 | 38 |
| 2.368 | 53 |
| 1.853 | 48 |
| 1.242 | 24 |

Crystal structure
```
6
Lattice="4.7356 0.0000 0.0000 0.0000 4.7356 0.0000 0.0000 0.0000 7.6576" Properties=species:S:1:pos:R:3 pbc="T T T"
Rb 1.1839 1.1839 1.1421
Rb 3.5517 3.5517 6.5155
Na 1.1839 3.5517 3.8288
Na 3.5517 1.1839 3.8288
S 1.1839 1.1839 5.4077
S 3.5517 3.5517 2.2499
```

Question: Which formula does entry 10 have?
Answer: RbNa3

Please write out number 3 again, unchanged.
Computed powder X-ray diffraction pattern
Compound: NaPmTl2
Radiation: Cu Ka
Structure: a cell relaxed with GGA-PBE
Kinematic intensities with the Lorentz-polarization factor, no thermal factor.

Largest 8 diffraction maxima, in order of rising 2θ, 10 to 90 degrees two-theta:
| d/Å | I (rel.) |
| --- | --- |
| 4.429 | 11 |
| 3.836 | 19 |
| 2.712 | 100 |
| 1.918 | 18 |
| 1.715 | 9 |
| 1.566 | 39 |
| 1.356 | 12 |
| 1.213 | 17 |

Crystal structure
```
16
Lattice="7.6710 0.0000 0.0000 0.0000 7.6710 0.0000 0.0000 0.0000 7.6710" Properties=species:S:1:pos:R:3 pbc="T T T"
Na 0.0000 0.0000 0.0000
Na 0.0000 3.8355 3.8355
Na 3.8355 0.0000 3.8355
Na 3.8355 3.8355 0.0000
Pm 0.0000 0.0000 3.8355
Pm 0.0000 3.8355 0.0000
Pm 3.8355 0.0000 0.0000
Pm 3.8355 3.8355 3.8355
Tl 1.9178 1.9178 1.9178
Tl 1.9178 1.9178 5.7533
Tl 1.9178 5.7533 1.9178
Tl 1.9178 5.7533 5.7533
Tl 5.7533 1.9178 1.9178
Tl 5.7533 1.9178 5.7533
Tl 5.7533 5.7533 1.9178
Tl 5.7533 5.7533 5.7533
```